Calculated powder XRD pattern
Compound: K4Cd5Sb6
Radiation: λ = 1.5418 Å (Cu Kα)
Structure: a cell relaxed with PBE

Most intense lines, 10 to 80 degrees two-theta, sorted by position:
2θ = 18.75°, I 29.3
2θ = 20.56°, I 23.5
2θ = 21.54°, I 23.9
2θ = 22.52°, I 29.0
2θ = 27.43°, I 20.5
2θ = 29.12°, I 46.3
2θ = 30.99°, I 42.9
2θ = 33.52°, I 34.9
2θ = 37.09°, I 58.3
2θ = 38.31°, I 27.7
2θ = 39.26°, I 100.0
2θ = 40.33°, I 39.5

Atomic structure:
```
K4Cd5Sb6
1.0
2.4236 -10.9577 0.0000
2.4236 10.9577 0.0000
0.0000 0.0000 18.7986
K Cd Sb
8 10 12
direct
0.0028 0.9972 0.5000
0.0212 0.9788 0.7562
0.1773 0.8227 0.3073
0.1797 0.8203 0.9442
0.8203 0.1797 0.4442
0.8227 0.1773 0.8073
0.9788 0.0212 0.2562
0.9972 0.0028 0.0000
0.1368 0.8632 0.6275
0.2860 0.7140 0.6289
0.3602 0.6398 0.2537
0.3630 0.6370 0.9873
0.4272 0.5728 0.6819
0.5728 0.4272 0.1819
0.6370 0.3630 0.4873
0.6398 0.3602 0.7537
0.7140 0.2860 0.1289
0.8632 0.1368 0.1275
0.1288 0.8712 0.1221
0.2095 0.7905 0.4980
0.2126 0.7874 0.7580
0.4354 0.5646 0.3833
0.4405 0.5595 0.8537
0.4435 0.5565 0.1239
0.5565 0.4435 0.6239
0.5595 0.4405 0.3537
0.5646 0.4354 0.8833
0.7874 0.2126 0.2580
0.7905 0.2095 0.9980
0.8712 0.1288 0.6221
```